Record 1
Structure and computed XRD peak list of Tb2GdCd (a structure optimized by DFT (GGA-PBE); Cu Ka).
No peak broadening, texture or thermal motion is included.

```
data_Tb2GdCd
_symmetry_space_group_name_H-M 'P 1'
_symmetry_Int_Tables_number 1
_symmetry_space_group_name_Hall 'P 1'
_cell_length_a 5.481
_cell_length_b 6.945
_cell_length_c 6.945
_cell_angle_alpha 120.01
_cell_angle_beta 90.00
_cell_angle_gamma 90.00
loop_
_atom_site_label
_atom_site_fract_x
_atom_site_fract_y
_atom_site_fract_z
Tb1 0.250 0.086 0.430
Tb2 0.250 0.086 0.914
Tb3 0.750 0.430 0.086
Tb4 0.750 0.914 0.086
Gd1 0.250 0.603 0.430
Gd2 0.750 0.430 0.603
Cd1 0.250 0.592 0.926
Cd2 0.750 0.926 0.592
```

Main lines, sorted by position (10 to 90 degrees two-theta):
2θ (°), d [Å], I (rel.)
29.71, 3.007, 24
32.68, 2.741, 25
34.01, 2.636, 100
44.74, 2.026, 16
52.72, 1.736, 19
59.17, 1.561, 20
63.42, 1.467, 21
64.24, 1.450, 15
83.22, 1.161, 8
87.69, 1.113, 13

Record 2
Structure and computed XRD peak list of AcBePd3 (a structure optimized by DFT (GGA-PBE); Cu Ka).
No peak broadening, texture or thermal motion is included.

```
data_AcBePd3
_symmetry_space_group_name_H-M 'P 1'
_symmetry_Int_Tables_number 1
_symmetry_space_group_name_Hall 'P 1'
_cell_length_a 6.054
_cell_length_b 6.054
_cell_length_c 5.783
_cell_angle_alpha 90.00
_cell_angle_beta 90.00
_cell_angle_gamma 120.00
loop_
_atom_site_label
_atom_site_fract_x
_atom_site_fract_y
_atom_site_fract_z
Ac1 0.333 0.667 0.250
Ac2 0.667 0.333 0.750
Be1 0.000 0.000 0.000
Be2 0.000 0.000 0.500
Pd1 0.172 0.344 0.750
Pd2 0.172 0.828 0.750
Pd3 0.344 0.172 0.250
Pd4 0.656 0.828 0.750
Pd5 0.828 0.172 0.250
Pd6 0.828 0.656 0.250
```

Main lines, sorted by position (10 to 90 degrees two-theta):
2θ (°), d [Å], I (rel.)
22.89, 3.884, 12
29.51, 3.027, 6
30.92, 2.892, 37
34.21, 2.621, 21
37.67, 2.388, 100
46.77, 1.942, 19
59.52, 1.553, 26
61.24, 1.513, 16
70.19, 1.341, 21
74.18, 1.278, 13

Record 3
Structure and computed XRD peak list of RbHg3OsSe4 (a structure optimized by DFT (GGA-PBE); Cu Ka).
No peak broadening, texture or thermal motion is included.

```
data_RbHg3OsSe4
_symmetry_space_group_name_H-M 'P 1'
_symmetry_Int_Tables_number 1
_symmetry_space_group_name_Hall 'P 1'
_cell_length_a 7.325
_cell_length_b 7.325
_cell_length_c 7.325
_cell_angle_alpha 90.00
_cell_angle_beta 90.00
_cell_angle_gamma 90.00
loop_
_atom_site_label
_atom_site_fract_x
_atom_site_fract_y
_atom_site_fract_z
Rb1 0.000 0.000 0.000
Hg1 0.000 0.500 0.500
Hg2 0.500 0.000 0.500
Hg3 0.500 0.500 0.000
Os1 0.500 0.500 0.500
Se1 0.318 0.318 0.318
Se2 0.318 0.682 0.682
Se3 0.682 0.318 0.682
Se4 0.682 0.682 0.318
```

Main lines, sorted by position (10 to 90 degrees two-theta):
2θ (°), d [Å], I (rel.)
12.08, 7.325, 100
21.01, 4.229, 60
24.30, 3.662, 48
34.64, 2.590, 92
36.81, 2.442, 24
40.86, 2.208, 36
42.77, 2.114, 21
44.60, 2.031, 22
56.16, 1.638, 37
62.08, 1.495, 26

Record 4
Structure and computed XRD peak list of CsKCuP (a structure optimized by DFT (GGA-PBE); Cu Ka).
No peak broadening, texture or thermal motion is included.

```
data_CsKCuP
_symmetry_space_group_name_H-M 'P 1'
_symmetry_Int_Tables_number 1
_symmetry_space_group_name_Hall 'P 1'
_cell_length_a 6.099
_cell_length_b 6.465
_cell_length_c 6.465
_cell_angle_alpha 71.86
_cell_angle_beta 90.00
_cell_angle_gamma 90.00
loop_
_atom_site_label
_atom_site_fract_x
_atom_site_fract_y
_atom_site_fract_z
Cs1 0.250 0.147 0.853
Cs2 0.750 0.853 0.147
K1 0.250 0.810 0.515
K2 0.750 0.515 0.810
Cu1 0.000 0.327 0.327
Cu2 0.500 0.327 0.327
P1 0.250 0.557 0.117
P2 0.750 0.117 0.557
```

Main lines, sorted by position (10 to 90 degrees two-theta):
2θ (°), d [Å], I (rel.)
14.42, 6.144, 34
20.52, 4.328, 51
27.69, 3.221, 81
28.14, 3.171, 79
31.81, 2.813, 100
32.64, 2.744, 37
32.79, 2.731, 50
34.02, 2.635, 35
36.55, 2.458, 27
53.93, 1.700, 45

Record 5
Structure and computed XRD peak list of Dy2Y3Lu2Ni2Te2 (a structure optimized by DFT (GGA-PBE); Cu Ka).
No peak broadening, texture or thermal motion is included.

```
data_Dy2Y3Lu2Ni2Te2
_symmetry_space_group_name_H-M 'P 1'
_symmetry_Int_Tables_number 1
_symmetry_space_group_name_Hall 'P 1'
_cell_length_a 9.306
_cell_length_b 9.306
_cell_length_c 9.306
_cell_angle_alpha 156.24
_cell_angle_beta 66.92
_cell_angle_gamma 118.48
loop_
_atom_site_label
_atom_site_fract_x
_atom_site_fract_y
_atom_site_fract_z
Dy1 0.186 0.000 0.186
Dy2 0.814 0.000 0.814
Y1 0.168 0.799 0.369
Y2 0.430 0.799 0.631
Y3 0.880 0.380 0.500
Lu1 0.505 0.652 0.853
Lu2 0.799 0.652 0.147
Ni1 0.042 0.307 0.735
Ni2 0.571 0.307 0.265
Te1 0.145 0.145 0.000
Te2 0.547 0.047 0.500
```

Main lines, sorted by position (10 to 90 degrees two-theta):
2θ (°), d [Å], I (rel.)
28.99, 3.080, 40
30.50, 2.931, 43
33.12, 2.705, 87
34.20, 2.622, 100
34.68, 2.586, 76
36.78, 2.444, 33
38.62, 2.331, 31
47.45, 1.916, 31
51.33, 1.780, 21
59.09, 1.563, 33

Record 6
Structure and computed XRD peak list of ScAuSO (a structure optimized by DFT (GGA-PBE); Cu Ka).
No peak broadening, texture or thermal motion is included.

```
data_ScAuSO
_symmetry_space_group_name_H-M 'P 1'
_symmetry_Int_Tables_number 1
_symmetry_space_group_name_Hall 'P 1'
_cell_length_a 5.369
_cell_length_b 5.361
_cell_length_c 10.310
_cell_angle_alpha 90.00
_cell_angle_beta 91.00
_cell_angle_gamma 90.00
loop_
_atom_site_label
_atom_site_fract_x
_atom_site_fract_y
_atom_site_fract_z
Sc1 0.002 0.000 0.092
Sc2 0.497 0.001 0.907
Sc3 0.503 0.501 0.093
Sc4 0.998 0.500 0.908
Au1 0.001 0.014 0.725
Au2 0.332 0.268 0.502
Au3 0.668 0.768 0.498
Au4 0.999 0.514 0.275
S1 0.307 0.216 0.279
S2 0.310 0.313 0.726
S3 0.690 0.813 0.274
S4 0.693 0.716 0.721
O1 0.247 0.250 0.002
O2 0.252 0.750 0.000
O3 0.748 0.250 0.000
O4 0.753 0.750 0.998
```

Main lines, sorted by position (10 to 90 degrees two-theta):
2θ (°), d [Å], I (rel.)
18.66, 4.756, 92
23.45, 3.793, 100
23.72, 3.751, 58
24.15, 3.686, 59
24.91, 3.574, 89
25.11, 3.546, 86
35.02, 2.562, 60
35.47, 2.531, 62
37.50, 2.399, 95
37.83, 2.378, 60

Record 7
Structure and computed XRD peak list of K2TbGe2O7 (a structure optimized by DFT (GGA-PBE); Cu Ka).
No peak broadening, texture or thermal motion is included.

```
data_K2TbGe2O7
_symmetry_space_group_name_H-M 'P 1'
_symmetry_Int_Tables_number 1
_symmetry_space_group_name_Hall 'P 1'
_cell_length_a 5.844
_cell_length_b 5.844
_cell_length_c 13.067
_cell_angle_alpha 103.68
_cell_angle_beta 103.68
_cell_angle_gamma 58.38
loop_
_atom_site_label
_atom_site_fract_x
_atom_site_fract_y
_atom_site_fract_z
K1 0.052 0.635 0.813
K2 0.365 0.948 0.687
K3 0.635 0.052 0.313
K4 0.948 0.365 0.187
Tb1 0.000 0.500 0.500
Tb2 0.500 0.000 0.000
Ge1 0.263 0.701 0.128
Ge2 0.299 0.737 0.372
Ge3 0.701 0.263 0.628
Ge4 0.737 0.299 0.872
O1 0.027 0.167 0.972
O2 0.116 0.884 0.250
O3 0.167 0.027 0.472
O4 0.210 0.500 0.378
O5 0.356 0.402 0.630
O6 0.402 0.356 0.130
O7 0.500 0.210 0.878
O8 0.500 0.790 0.122
O9 0.598 0.644 0.870
O10 0.644 0.598 0.370
O11 0.790 0.500 0.622
O12 0.833 0.973 0.528
O13 0.884 0.116 0.750
O14 0.973 0.833 0.028
```

Main lines, sorted by position (10 to 90 degrees two-theta):
2θ (°), d [Å], I (rel.)
14.08, 6.289, 26
19.69, 4.508, 20
20.22, 4.392, 96
25.90, 3.440, 22
29.28, 3.050, 53
29.79, 2.999, 84
30.61, 2.921, 100
31.39, 2.850, 35
43.46, 2.082, 34
53.28, 1.719, 22

Record 8
Structure and computed XRD peak list of TaMoS4 (a structure optimized by DFT (GGA-PBE); Cu Ka).
No peak broadening, texture or thermal motion is included.

```
data_TaMoS4
_symmetry_space_group_name_H-M 'P 1'
_symmetry_Int_Tables_number 1
_symmetry_space_group_name_Hall 'P 1'
_cell_length_a 7.237
_cell_length_b 7.237
_cell_length_c 5.677
_cell_angle_alpha 90.00
_cell_angle_beta 90.00
_cell_angle_gamma 153.84
loop_
_atom_site_label
_atom_site_fract_x
_atom_site_fract_y
_atom_site_fract_z
Ta1 0.000 0.000 0.000
Mo1 0.500 0.500 0.496
S1 0.109 0.891 0.660
S2 0.389 0.611 0.168
S3 0.611 0.389 0.168
S4 0.891 0.109 0.660
```

Main lines, sorted by position (10 to 90 degrees two-theta):
2θ (°), d [Å], I (rel.)
12.56, 7.049, 100
31.52, 2.838, 7
32.19, 2.781, 27
34.05, 2.633, 14
37.02, 2.429, 31
40.82, 2.211, 15
45.35, 2.000, 22
56.00, 1.642, 7
56.55, 1.627, 13
71.72, 1.316, 8